Starting from the PBE geometry in Alexandria, the PXRD pattern of Tb2Nd5Tl was calculated for copper Kα.

Principal peaks in the range 10° ≤ 2θ ≤ 90°, sorted by position:
2θ 30.50, I = 100; 2θ 35.20, I = 34; 2θ 35.68, I = 17; 2θ 50.71, I = 6; 2θ 51.00, I = 24; 2θ 60.22, I = 14; 2θ 60.32, I = 14; 2θ 60.91, I = 14; 2θ 63.41, I = 6; 2θ 63.55, I = 6

Cell and atoms:
```
Tb2Nd5Tl
1.0
7.2008 0.0000 0.0000
0.0000 14.4431 0.0000
0.0000 0.0000 5.0322
Tb Nd Tl
4 10 2
Direct
0.2470 0.1228 0.0000
0.2530 0.6228 0.0000
0.7470 0.3772 0.0000
0.7530 0.8772 0.0000
0.0000 0.0000 0.5000
0.0038 0.7398 0.5000
0.2486 0.8744 0.0000
0.2514 0.3744 0.0000
0.4962 0.2398 0.5000
0.5000 0.5000 0.5000
0.5038 0.7602 0.5000
0.7486 0.6256 0.0000
0.7514 0.1256 0.0000
0.9962 0.2602 0.5000
0.0000 0.5000 0.5000
0.5000 0.0000 0.5000
```


Starting from the PBE geometry in Alexandria, the PXRD pattern of Tb6Nd2Tl was calculated for copper Kα.

Principal peaks in the range 10° ≤ 2θ ≤ 90°, sorted by position:
2θ 29.75, I = 29; 2θ 31.05, I = 63; 2θ 31.20, I = 73; 2θ 31.39, I = 71; 2θ 32.07, I = 87; 2θ 32.28, I = 100; 2θ 32.60, I = 87; 2θ 35.26, I = 41; 2θ 51.13, I = 29; 2θ 61.77, I = 29

Cell and atoms:
```
Tb6Nd2Tl
1.0
6.5991 0.0000 0.0000
-0.7948 9.0107 0.0000
-1.8439 -3.1881 9.5866
Tb Nd Tl
12 4 2
Direct
0.0384 0.3117 0.4372
0.1347 0.3600 0.1233
0.2067 0.9606 0.8914
0.2674 0.0205 0.5567
0.4203 0.6453 0.4338
0.4371 0.6903 0.0894
0.5629 0.3097 0.9106
0.5797 0.3547 0.5662
0.7326 0.9795 0.4433
0.7933 0.0394 0.1086
0.8653 0.6400 0.8767
0.9616 0.6883 0.5628
0.0151 0.2753 0.7673
0.3382 0.0825 0.2439
0.6618 0.9175 0.7561
0.9849 0.7247 0.2327
0.3345 0.5906 0.7547
0.6655 0.4094 0.2453
```


Starting from the PBE geometry in Alexandria, the PXRD pattern of Tb2Nd5Tl4 was calculated for copper Kα.

Principal peaks in the range 10° ≤ 2θ ≤ 90°, sorted by position:
2θ 25.52, I = 35; 2θ 29.43, I = 31; 2θ 29.87, I = 100; 2θ 30.30, I = 92; 2θ 31.68, I = 91; 2θ 33.42, I = 75; 2θ 33.96, I = 42; 2θ 37.24, I = 38; 2θ 37.75, I = 42; 2θ 63.10, I = 30

Cell and atoms:
```
Tb2Nd5Tl4
1.0
12.4140 -1.7631 0.0000
12.4140 1.7631 0.0000
-0.4409 0.0000 8.1392
Tb Nd Tl
2 5 4
Direct
0.0902 0.0902 0.2186
0.9098 0.9098 0.7814
0.1407 0.1407 0.6266
0.2337 0.2337 0.2879
0.5000 0.5000 0.5000
0.7663 0.7663 0.7121
0.8593 0.8593 0.3734
0.0381 0.0381 0.8520
0.3342 0.3342 0.0264
0.6658 0.6658 0.9736
0.9619 0.9619 0.1480
```


Starting from the PBE geometry in Alexandria, the PXRD pattern of Tb5NdTl3 was calculated for copper Kα.

Principal peaks in the range 10° ≤ 2θ ≤ 90°, sorted by position:
2θ 32.52, I = 87; 2θ 32.82, I = 100; 2θ 42.54, I = 16; 2θ 46.87, I = 32; 2θ 58.40, I = 33; 2θ 58.60, I = 19; 2θ 64.77, I = 29; 2θ 68.81, I = 12; 2θ 78.19, I = 14; 2θ 83.86, I = 14

Cell and atoms:
```
Tb5NdTl3
1.0
9.4525 0.0000 0.0000
-4.7262 8.1861 0.0000
0.0000 0.0000 6.7765
Tb Nd Tl
10 2 6
Direct
0.0000 0.3302 0.2500
0.0000 0.6698 0.7500
0.3302 0.0000 0.2500
0.3302 0.3302 0.7500
0.3333 0.6667 0.0000
0.3333 0.6667 0.5000
0.6667 0.3333 0.0000
0.6667 0.3333 0.5000
0.6698 0.0000 0.7500
0.6698 0.6698 0.2500
0.0000 0.0000 0.0000
0.0000 0.0000 0.5000
0.0000 0.3391 0.7500
0.0000 0.6609 0.2500
0.3391 0.0000 0.7500
0.3391 0.3391 0.2500
0.6609 0.0000 0.2500
0.6609 0.6609 0.7500
```